[1]
# TaI4
Computed X-ray diffraction stick pattern, Cu Kα X-rays. Input: a structure optimized by DFT (GGA-PBE).
Intensities are scaled so that the largest is 100.

Largest 10 diffraction maxima, low angle first, 2θ = 10–80°:
- d = 7.369 Å, 12.01°, I 45, (1 0 0)
- d = 7.202 Å, 12.29°, I 100, (0 1 -1)
- d = 6.988 Å, 12.67°, I 66, (1 1 0)
- d = 6.118 Å, 14.48°, I 42, (1 0 1)
- d = 3.521 Å, 25.30°, I 31, (1 -2 1)
- d = 3.415 Å, 26.10°, I 31, (2 2 1)
- d = 3.334 Å, 26.74°, I 63, (1 0 -3)
- d = 3.283 Å, 27.16°, I 49, (1 3 -1)
- d = 3.141 Å, 28.41°, I 30, (-2 1 1)
- d = 2.237 Å, 40.32°, I 57, (3 0 2)

Structure:
abc: 7.6486 11.1198 11.2694
angles: 81.85 88.42 74.47
Space group P-1 (No. 2)
Asymmetric unit:
Ta: 0.1124 0.4088 0.3382
Ta: 0.1880 0.1738 0.2233
I: 0.0278 0.1889 0.4604
I: 0.0590 0.9494 0.8315
I: 0.1060 0.6034 0.8478
I: 0.1974 0.6136 0.2234
I: 0.2248 0.4484 0.5700
I: 0.3362 0.2091 0.0082
I: 0.4114 0.9397 0.3034
I: 0.4632 0.2601 0.3306


[2]
# TaTe4I
Computed X-ray diffraction stick pattern, Cu Kα X-rays. Input: a structure optimized by DFT (GGA-PBE).
Intensities are scaled so that the largest is 100.

Largest 10 diffraction maxima, low angle first, 2θ = 10–80°:
- d = 7.858 Å, 11.26°, I 70, (0 0 1)
- d = 7.411 Å, 11.94°, I 100, (0 1 -1)
- d = 7.143 Å, 12.39°, I 34, (0 1 0)
- d = 3.304 Å, 26.98°, I 16, (2 0 -1)
- d = 2.972 Å, 30.07°, I 16, (1 1 -3)
- d = 2.955 Å, 30.25°, I 25, (-1 2 1)
- d = 2.940 Å, 30.40°, I 17, (1 0 2)
- d = 2.762 Å, 32.41°, I 29, (1 2 0)
- d = 2.711 Å, 33.05°, I 25, (1 -3 1)
- d = 2.426 Å, 37.05°, I 17, (2 0 -3)

Structure:
abc: 6.7531 8.3608 9.2178
angles: 116.00 101.42 100.78
Space group P-1 (No. 2)
Asymmetric unit:
Ta: 0.2498 0.0003 0.9997
Te: 0.0228 0.8796 0.1859
Te: 0.1223 0.3225 0.1779
Te: 0.3857 0.8497 0.7046
Te: 0.4604 0.7574 0.0636
I: 0.2456 0.4030 0.5646


[3]
# TbI3
Computed X-ray diffraction stick pattern, Cu Kα X-rays. Input: a structure optimized by DFT (GGA-PBE).
Intensities are scaled so that the largest is 100.

Largest 10 diffraction maxima, low angle first, 2θ = 10–80°:
- d = 5.687 Å, 15.58°, I 31, (1 1 0)
- d = 4.925 Å, 18.01°, I 69, (2 0 0)
- d = 3.722 Å, 23.90°, I 32, (2 1 0)
- d = 3.112 Å, 28.69°, I 100, (2 0 1)
- d = 2.731 Å, 32.80°, I 60, (3 1 0)
- d = 2.542 Å, 35.31°, I 51, (3 0 1)
- d = 2.259 Å, 39.91°, I 59, (3 1 1)
- d = 1.895 Å, 48.00°, I 33, (3 3 0)
- d = 1.619 Å, 56.89°, I 38, (5 1 1)
- d = 1.328 Å, 70.98°, I 28, (5 3 1)

Structure:
abc: 11.3745 11.3745 4.0146
angles: 90.00 90.00 120.00
Space group P6_3/mmc (No. 194)
Asymmetric unit:
Tb: 0.3333 0.6667 0.2500
I: 0.2150 0.4300 0.7500


[4]
# TcI4
Computed X-ray diffraction stick pattern, Cu Kα X-rays. Input: a structure optimized by DFT (GGA-PBE).
Intensities are scaled so that the largest is 100.

Largest 10 diffraction maxima, low angle first, 2θ = 10–80°:
- d = 8.432 Å, 10.49°, I 36, (2 0 0)
- d = 6.565 Å, 13.49°, I 83, (1 0 -2)
- d = 3.563 Å, 24.99°, I 56, (0 0 4)
- d = 3.502 Å, 25.43°, I 39, (4 1 -1)
- d = 3.228 Å, 27.63°, I 59, (4 1 -2)
- d = 3.216 Å, 27.74°, I 66, (4 1 2)
- d = 3.143 Å, 28.40°, I 100, (0 2 2)
- d = 2.882 Å, 31.03°, I 35, (4 1 -3)
- d = 2.869 Å, 31.17°, I 32, (4 1 3)
- d = 2.042 Å, 44.35°, I 45, (4 3 0)

Structure:
abc: 16.8651 7.0041 14.2535
angles: 90.00 90.31 90.00
Space group P2_1/c (No. 14)
Asymmetric unit:
Tc: 0.1717 0.0953 0.3732
Tc: 0.3097 0.5933 0.3740
I: 0.0643 0.5375 0.7551
I: 0.0662 0.2408 0.4899
I: 0.1851 0.7320 0.9793
I: 0.1881 0.0822 0.7657
I: 0.2939 0.5824 0.7675
I: 0.2955 0.2330 0.9803
I: 0.4156 0.7266 0.4944
I: 0.4173 0.0387 0.7562


[5]
# Te8I3
Computed X-ray diffraction stick pattern, Cu Kα X-rays. Input: a structure optimized by DFT (GGA-PBE).
Intensities are scaled so that the largest is 100.

Largest 10 diffraction maxima, low angle first, 2θ = 10–80°:
- d = 3.478 Å, 25.61°, I 66, (0 0 26)
- d = 3.350 Å, 26.61°, I 65, (0 0 27)
- d = 3.247 Å, 27.47°, I 88, (1 1 0)
- d = 3.161 Å, 28.23°, I 66, (1 1 -7)
- d = 3.131 Å, 28.50°, I 63, (1 1 -8)
- d = 3.114 Å, 28.67°, I 57, (1 1 8)
- d = 3.011 Å, 29.67°, I 48, (1 1 11)
- d = 2.320 Å, 38.81°, I 100, (0 2 0)
- d = 2.274 Å, 39.64°, I 84, (2 0 0)
- d = 1.624 Å, 56.68°, I 58, (2 2 0)

Structure:
abc: 4.5488 4.6416 90.4492
angles: 90.00 90.88 90.00
Space group Cm (No. 8)
Asymmetric unit:
Te: 0.0000 0.0000 0.0000
Te: 0.9999 0.0000 0.1076
Te: 0.9999 0.0000 0.8842
Te: 0.0070 0.0000 0.7637
Te: 0.0068 0.0000 0.9176
Te: 0.0164 0.0000 0.0305
Te: 0.4926 0.5000 0.8507
Te: 0.4941 0.5000 0.7320
I: 0.0000 0.5000 0.0652
I: 0.0053 0.5000 0.8048
I: 0.0087 0.5000 0.9620


[6]
# TeI
Computed X-ray diffraction stick pattern, Cu Kα X-rays. Input: a structure optimized by DFT (GGA-PBE).
Intensities are scaled so that the largest is 100.

Largest 10 diffraction maxima, low angle first, 2θ = 10–80°:
- d = 3.851 Å, 23.10°, I 15, (4 0 -1)
- d = 3.329 Å, 26.78°, I 100, (3 1 -1)
- d = 3.271 Å, 27.26°, I 43, (0 0 3)
- d = 2.989 Å, 29.89°, I 13, (2 0 -4)
- d = 2.954 Å, 30.25°, I 12, (3 1 -3)
- d = 2.590 Å, 34.63°, I 20, (5 1 -2)
- d = 2.517 Å, 35.68°, I 18, (3 1 -4)
- d = 2.185 Å, 41.31°, I 33, (3 1 2)
- d = 2.130 Å, 42.43°, I 44, (0 2 0)
- d = 1.785 Å, 51.17°, I 17, (0 2 3)

Structure:
abc: 16.4234 4.2613 12.4972
angles: 90.00 128.25 90.00
Space group C2/m (No. 12)
Asymmetric unit:
Te: 0.1224 0.0000 0.3236
Te: 0.2460 0.0000 0.6630
I: 0.0228 0.5000 0.6877
I: 0.1646 0.5000 0.0608


[7]
# TeI
Computed X-ray diffraction stick pattern, Cu Kα X-rays. Input: a structure optimized by DFT (GGA-PBE).
Intensities are scaled so that the largest is 100.

Largest 10 diffraction maxima, low angle first, 2θ = 10–80°:
- d = 8.319 Å, 10.63°, I 11, (0 1 0)
- d = 4.159 Å, 21.36°, I 20, (0 2 0)
- d = 4.079 Å, 21.79°, I 11, (2 0 0)
- d = 3.351 Å, 26.60°, I 100, (2 2 0)
- d = 3.297 Å, 27.04°, I 15, (0 0 3)
- d = 2.614 Å, 34.31°, I 11, (2 3 0)
- d = 2.605 Å, 34.42°, I 11, (2 -2 0)
- d = 2.264 Å, 39.81°, I 11, (2 3 3)
- d = 2.199 Å, 41.05°, I 15, (2 -1 3)
- d = 2.104 Å, 43.00°, I 14, (4 1 0)

Structure:
abc: 8.4146 8.8242 10.1807
angles: 76.72 89.87 75.98
Space group P-1 (No. 2)
Asymmetric unit:
Te: 0.0118 0.0053 0.3015
Te: 0.1859 0.2507 0.2198
Te: 0.3099 0.7589 0.3187
Te: 0.4869 0.0042 0.3030
I: 0.1807 0.2880 0.9409
I: 0.1857 0.2695 0.5866
I: 0.3206 0.7075 0.0588
I: 0.3236 0.7274 0.6866


[8]
# TeI7
Computed X-ray diffraction stick pattern, Cu Kα X-rays. Input: a structure optimized by DFT (GGA-PBE).
Intensities are scaled so that the largest is 100.

Largest 10 diffraction maxima, low angle first, 2θ = 10–80°:
- d = 6.369 Å, 13.90°, I 100, (2 0 0)
- d = 5.947 Å, 14.90°, I 30, (0 0 1)
- d = 3.590 Å, 24.80°, I 32, (2 2 1)
- d = 3.185 Å, 28.02°, I 71, (4 0 0)
- d = 2.896 Å, 30.88°, I 27, (1 0 2)
- d = 2.848 Å, 31.41°, I 26, (4 2 0)
- d = 2.807 Å, 31.88°, I 17, (4 0 1)
- d = 2.252 Å, 40.04°, I 26, (4 4 0)
- d = 2.142 Å, 42.18°, I 21, (4 1 2)
- d = 1.935 Å, 46.97°, I 21, (5 0 2)

Structure:
abc: 12.7380 12.7380 5.9473
angles: 90.00 90.00 90.00
Space group P4/nmm (No. 129, origin choice 2)
Asymmetric unit:
Te: 0.2500 0.2500 0.0884
I: 0.0161 0.2500 0.0961
I: 0.2500 0.2500 0.5921
I: 0.2500 0.7500 0.2454


[9]
# Te2I
Computed X-ray diffraction stick pattern, Cu Kα X-rays. Input: a structure optimized by DFT (GGA-PBE).
Intensities are scaled so that the largest is 100.

Largest 10 diffraction maxima, low angle first, 2θ = 10–80°:
- d = 4.086 Å, 21.75°, I 100, (4 0 1)
- d = 3.119 Å, 28.62°, I 92, (0 1 3)
- d = 3.068 Å, 29.10°, I 40, (1 1 3)
- d = 3.035 Å, 29.43°, I 29, (3 1 2)
- d = 2.746 Å, 32.61°, I 31, (4 1 2)
- d = 2.331 Å, 38.62°, I 14, (1 0 6)
- d = 2.277 Å, 39.57°, I 30, (4 1 4)
- d = 2.114 Å, 42.77°, I 22, (5 1 4)
- d = 2.082 Å, 43.46°, I 38, (0 2 0)
- d = 1.855 Å, 49.11°, I 23, (4 2 1)

Structure:
abc: 17.0747 4.1644 14.1192
angles: 90.00 90.00 90.00
Space group Pnma (No. 62)
Asymmetric unit:
Te: 0.0799 0.2500 0.2303
Te: 0.0968 0.7500 0.0872
Te: 0.1936 0.7500 0.6983
Te: 0.2308 0.2500 0.5627
I: 0.0564 0.7500 0.3895
I: 0.1538 0.2500 0.8578


[10]
# ThI4
Computed X-ray diffraction stick pattern, Cu Kα X-rays. Input: a structure optimized by DFT (GGA-PBE).
Intensities are scaled so that the largest is 100.

Largest 10 diffraction maxima, low angle first, 2θ = 10–80°:
- d = 7.853 Å, 11.27°, I 100, (1 0 0)
- d = 3.680 Å, 24.18°, I 19, (1 2 -1)
- d = 3.390 Å, 26.29°, I 20, (2 1 -3)
- d = 3.367 Å, 26.47°, I 21, (1 2 1)
- d = 3.112 Å, 28.69°, I 24, (0 1 4)
- d = 2.993 Å, 29.86°, I 49, (1 2 2)
- d = 2.838 Å, 31.52°, I 21, (2 2 0)
- d = 2.733 Å, 32.77°, I 20, (1 1 -5)
- d = 2.609 Å, 34.38°, I 36, (3 1 -3)
- d = 2.368 Å, 38.00°, I 17, (1 3 -3)

Structure:
abc: 8.4659 8.2136 14.5001
angles: 90.00 111.93 90.00
Space group P2_1/c (No. 14)
Asymmetric unit:
Th: 0.0045 0.0148 0.1828
I: 0.1379 0.1399 0.6509
I: 0.2033 0.1909 0.3973
I: 0.2276 0.5834 0.5537
I: 0.2890 0.7460 0.8126


[11]
# ThI2
Computed X-ray diffraction stick pattern, Cu Kα X-rays. Input: a structure optimized by DFT (GGA-PBE).
Intensities are scaled so that the largest is 100.

Largest 10 diffraction maxima, low angle first, 2θ = 10–80°:
- d = 3.424 Å, 26.02°, I 31, (1 0 1)
- d = 3.132 Å, 28.50°, I 54, (1 0 5)
- d = 3.021 Å, 29.57°, I 100, (1 0 6)
- d = 2.548 Å, 35.22°, I 79, (1 0 10)
- d = 2.435 Å, 36.91°, I 24, (1 0 11)
- d = 2.372 Å, 37.93°, I 23, (0 0 16)
- d = 1.985 Å, 45.71°, I 42, (1 1 0)
- d = 1.943 Å, 46.76°, I 20, (1 1 4)
- d = 1.659 Å, 55.38°, I 19, (2 0 6)
- d = 1.522 Å, 60.85°, I 34, (1 1 16)

Structure:
abc: 3.9698 3.9698 37.9528
angles: 90.00 90.00 120.00
Space group P6_3/mmc (No. 194)
Asymmetric unit:
Th: 0.0000 0.0000 0.0000
Th: 0.3333 0.6667 0.2500
I: 0.0000 0.0000 0.1903
I: 0.3333 0.6667 0.0601


[12]
# TiI4
Computed X-ray diffraction stick pattern, Cu Kα X-rays. Input: a structure optimized by DFT (GGA-PBE).
Intensities are scaled so that the largest is 100.

Largest 10 diffraction maxima, low angle first, 2θ = 10–80°:
- d = 3.642 Å, 24.44°, I 34, (0 2 1)
- d = 3.536 Å, 25.19°, I 67, (4 0 0)
- d = 3.255 Å, 27.40°, I 86, (2 2 -1)
- d = 3.221 Å, 27.70°, I 100, (2 2 1)
- d = 3.170 Å, 28.15°, I 55, (2 0 -2)
- d = 3.107 Å, 28.73°, I 45, (2 0 2)
- d = 2.521 Å, 35.62°, I 46, (4 2 1)
- d = 2.048 Å, 44.22°, I 43, (0 2 3)
- d = 1.990 Å, 45.58°, I 36, (6 2 -1)
- d = 1.757 Å, 52.07°, I 29, (4 2 3)

Structure:
abc: 14.1480 8.5276 7.0053
angles: 90.00 91.43 90.00
Space group C2/c (No. 15)
Asymmetric unit:
Ti: 0.0000 0.1569 0.2500
I: 0.1081 0.1041 0.9317
I: 0.1222 0.3556 0.3904